[1]
Diffraction record for Li10TlHg6. The PXRD pattern is calculated, not measured: it uses a structure optimized by DFT (PBE) and Cu Kα X-rays.

Main lines, by angle (10° ≤ 2θ ≤ 90°):
d 5.691, 15.57°, I = 19
d 4.055, 21.92°, I = 13
d 3.512, 25.36°, I = 22
d 3.302, 27.00°, I = 100
d 2.406, 37.38°, I = 20
d 2.341, 38.45°, I = 36
d 2.329, 38.65°, I = 38
d 1.910, 47.61°, I = 16
d 1.843, 49.46°, I = 13
d 1.718, 53.31°, I = 15

Crystal structure
a = 8.110 Å, b = 8.110 Å, c = 5.691 Å
α = 90.00°, β = 90.00°, γ = 120.00°
Element x y z (fractional)
Li  0.000  0.291  0.315
Li  0.000  0.709  0.685
Li  0.291  0.000  0.315
Li  0.291  0.291  0.685
Li  0.333  0.667  0.000
Li  0.333  0.667  0.500
Li  0.667  0.333  0.000
Li  0.667  0.333  0.500
Li  0.709  0.000  0.685
Li  0.709  0.709  0.315
Tl  0.000  0.000  0.000
Hg  0.000  0.373  0.795
Hg  0.000  0.627  0.205
Hg  0.373  0.000  0.795
Hg  0.373  0.373  0.205
Hg  0.627  0.000  0.205
Hg  0.627  0.627  0.795

[2]
Diffraction record for Li3Tl2Hg9. The PXRD pattern is calculated, not measured: it uses a structure optimized by DFT (PBE) and Cu Kα X-rays.

Main lines, by angle (10° ≤ 2θ ≤ 90°):
d 3.388, 26.31°, I = 19
d 3.291, 27.10°, I = 19
d 2.820, 31.73°, I = 86
d 2.793, 32.05°, I = 89
d 2.734, 32.76°, I = 100
d 2.422, 37.13°, I = 73
d 2.392, 37.60°, I = 45
d 1.864, 48.85°, I = 26
d 1.468, 63.36°, I = 25
d 1.456, 63.95°, I = 20

Crystal structure
a = 8.325 Å, b = 8.325 Å, c = 12.019 Å
α = 108.39°, β = 108.39°, γ = 60.78°
Element x y z (fractional)
Li  0.000  0.500  0.000
Li  0.162  0.677  0.520
Li  0.323  0.838  0.980
Li  0.500  0.000  0.500
Li  0.677  0.162  0.020
Li  0.838  0.323  0.480
Tl  0.054  0.252  0.250
Tl  0.252  0.054  0.750
Tl  0.748  0.946  0.250
Tl  0.946  0.748  0.750
Hg  0.035  0.846  0.070
Hg  0.154  0.965  0.430
Hg  0.157  0.587  0.258
Hg  0.185  0.347  0.578
Hg  0.316  0.465  0.936
Hg  0.347  0.185  0.078
Hg  0.408  0.592  0.750
Hg  0.413  0.843  0.242
Hg  0.465  0.316  0.436
Hg  0.535  0.684  0.564
Hg  0.587  0.157  0.758
Hg  0.592  0.408  0.250
Hg  0.653  0.815  0.922
Hg  0.684  0.535  0.064
Hg  0.815  0.653  0.422
Hg  0.843  0.413  0.742
Hg  0.846  0.035  0.570
Hg  0.965  0.154  0.930